The following is a computed X-ray powder pattern of KTlGeCl4. It was derived from DFT lattice parameters and positions (PBE), using Cu Ka.

Crystal structure
a b c (Å): 5.2443 5.2443 15.9919
angles (deg): 90.00 90.00 90.00
Space group I4mm (No. 107)
Asymmetric unit:
K 0.0000 0.0000 0.0000 [2 per cell]
Tl 0.0000 0.0000 0.7163 [2 per cell]
Ge 0.0000 0.0000 0.3596 [2 per cell]
Cl 0.0000 0.0000 0.1960 [2 per cell]
Cl 0.0000 0.0000 0.5297 [2 per cell]
Cl 0.0000 0.5000 0.3645 [4 per cell]

Largest 10 diffraction maxima, by angle, 10° ≤ 2θ ≤ 80°:
- 11.07°, rel. 70.0, hkl 0 0 2
- 17.80°, rel. 63.3, hkl 1 0 1
- 23.80°, rel. 100.0, hkl 1 0 3
- 24.00°, rel. 97.5, hkl 1 1 0
- 26.50°, rel. 50.3, hkl 1 1 2
- 32.80°, rel. 44.4, hkl 1 0 5
- 32.94°, rel. 56.6, hkl 1 1 4
- 34.20°, rel. 82.7, hkl 2 0 0
- 42.09°, rel. 47.4, hkl 2 1 3
- 48.72°, rel. 42.4, hkl 2 0 6